No. 1
Diffraction record for NdHg6Pd6. The powder diffractogram is simulated, not measured: it uses the PBE geometry in Alexandria and Cu Kα.

The 12 most intense peaks (15° ≤ 2θ ≤ 90°), low angle first:
2θ (°)	d/Å	intensity
31.66	2.826	100
32.80	2.731	17
36.72	2.448	35
37.17	2.419	97
37.71	2.385	32
38.47	2.340	29
41.65	2.169	90
42.84	2.111	34
64.17	1.451	20
66.08	1.414	24
68.73	1.366	42
86.27	1.128	23

Crystal structure
Lattice parameters (Å, degrees): 7.341 7.341 7.341 134.77 100.79 96.23
Fractional coordinates of all 13 atoms:
Nd (0.000, 0.000, 0.000)
Hg (0.180, 0.680, 0.500)
Hg (0.336, 0.000, 0.336)
Hg (0.342, 0.342, 0.000)
Hg (0.658, 0.658, 0.000)
Hg (0.664, 0.000, 0.664)
Hg (0.820, 0.320, 0.500)
Pd (0.000, 0.000, 0.500)
Pd (0.000, 0.500, 0.000)
Pd (0.237, 0.500, 0.737)
Pd (0.500, 0.000, 0.000)
Pd (0.500, 0.500, 0.500)
Pd (0.763, 0.500, 0.263)

=====

No. 2
Diffraction record for Li2Mg4Tl2Hg. The powder diffractogram is simulated, not measured: it uses the PBE geometry in Alexandria and Cu Kα.

The 12 most intense peaks (15° ≤ 2θ ≤ 90°), low angle first:
2θ (°)	d/Å	intensity
15.89	5.579	49
22.77	3.906	25
24.62	3.616	100
27.32	3.264	63
30.92	2.892	30
32.46	2.759	33
32.73	2.736	32
35.34	2.540	35
36.35	2.472	44
36.61	2.455	37
36.83	2.440	39
37.79	2.381	44

Crystal structure
Lattice parameters (Å, degrees): 5.852 5.924 6.592 71.77 72.49 83.13
Fractional coordinates of all 9 atoms:
Li (0.184, 0.356, 0.111)
Li (0.816, 0.644, 0.889)
Mg (0.350, 0.791, 0.197)
Mg (0.389, 0.792, 0.712)
Mg (0.611, 0.208, 0.288)
Mg (0.650, 0.209, 0.803)
Tl (0.187, 0.356, 0.664)
Tl (0.813, 0.644, 0.336)
Hg (0.000, 0.000, 0.500)

=====

No. 3
Diffraction record for MnNbRu2. The powder diffractogram is simulated, not measured: it uses the PBE geometry in Alexandria and Cu Kα.

The 11 most intense peaks (15° ≤ 2θ ≤ 90°), low angle first:
2θ (°)	d/Å	intensity
24.82	3.587	3
28.74	3.106	3
41.09	2.196	100
48.61	1.873	2
50.92	1.793	1
59.52	1.553	16
65.49	1.425	1
67.41	1.389	1
74.88	1.268	32
80.30	1.196	1
89.17	1.098	10

Crystal structure
Lattice parameters (Å, degrees): 6.213 6.213 6.213 90.00 90.00 90.00
Fractional coordinates of all 16 atoms:
Mn (0.000, 0.000, 0.000)
Mn (0.000, 0.500, 0.500)
Mn (0.500, 0.000, 0.500)
Mn (0.500, 0.500, 0.000)
Nb (0.000, 0.000, 0.500)
Nb (0.000, 0.500, 0.000)
Nb (0.500, 0.000, 0.000)
Nb (0.500, 0.500, 0.500)
Ru (0.250, 0.250, 0.250)
Ru (0.250, 0.250, 0.750)
Ru (0.250, 0.750, 0.250)
Ru (0.250, 0.750, 0.750)
Ru (0.750, 0.250, 0.250)
Ru (0.750, 0.250, 0.750)
Ru (0.750, 0.750, 0.250)
Ru (0.750, 0.750, 0.750)

=====

No. 4
Diffraction record for TbSmTmTl. The powder diffractogram is simulated, not measured: it uses the PBE geometry in Alexandria and Cu Kα.

The 12 most intense peaks (15° ≤ 2θ ≤ 90°), low angle first:
2θ (°)	d/Å	intensity
31.84	2.811	100
36.64	2.453	17
36.96	2.432	17
37.18	2.418	17
53.03	1.727	12
53.19	1.722	12
53.43	1.715	12
62.98	1.476	14
63.41	1.467	14
63.70	1.461	14
66.53	1.405	12
87.00	1.120	6

Crystal structure
Lattice parameters (Å, degrees): 4.837 4.864 4.905 90.00 90.00 90.00
Fractional coordinates of all 4 atoms:
Tb (0.000, 0.000, 0.000)
Sm (0.500, 0.500, 0.000)
Tm (0.000, 0.500, 0.500)
Tl (0.500, 0.000, 0.500)